Theoretical XRD peak list of Li2Ti3VO8 for a wavelength of 1.5418 Å, from a cell relaxed with PBE+U.

Principal peaks in the range 2θ from 10° to 90°, low angle first:
2theta  I_rel
18.02  41
18.13  100
34.96  15
35.10  48
42.61  84
46.76  6
56.21  8
56.37  21
61.67  24
62.00  25
65.15  10
78.14  9

```
Li2Ti3VO8
1.0
2.9938 1.7285 4.9235
-2.9938 1.7285 4.9235
0.0000 -3.4569 4.9235
Li Ti V O
2 3 1 8
Direct
0.1211 0.1211 0.1211
0.8789 0.8789 0.8789
0.0000 0.5000 0.5000
0.5000 0.0000 0.5000
0.5000 0.5000 0.0000
0.5000 0.5000 0.5000
0.2543 0.2543 0.7113
0.2543 0.7113 0.2543
0.2618 0.2618 0.2618
0.2887 0.7457 0.7457
0.7113 0.2543 0.2543
0.7382 0.7382 0.7382
0.7457 0.2887 0.7457
0.7457 0.7457 0.2887
```

---

Theoretical XRD peak list of Li4Ti3V3O12 for a wavelength of 1.5418 Å, from a cell relaxed with PBE+U.

Principal peaks in the range 2θ from 10° to 90°, low angle first:
2theta  I_rel
17.93  100
34.96  11
35.39  23
42.09  24
42.91  46
46.44  6
55.43  5
56.46  9
61.29  12
62.00  12
62.13  6
62.56  6

```
Li4Ti3V3O12
1.0
5.1954 0.0000 0.0000
1.8179 5.7674 0.0000
1.8423 1.1853 7.6406
Li Ti V O
4 3 3 12
Direct
0.0032 0.3332 0.1651
0.4928 0.8362 0.6659
0.5072 0.1638 0.3341
0.9968 0.6668 0.8349
0.0000 0.5000 0.5000
0.0149 0.8298 0.1634
0.9851 0.1702 0.8366
0.4986 0.6711 0.3297
0.5000 0.0000 0.0000
0.5014 0.3289 0.6703
0.2222 0.8591 0.9193
0.2295 0.5141 0.2653
0.2316 0.3179 0.9005
0.2351 0.1894 0.5942
0.2489 0.9795 0.2422
0.2560 0.6363 0.5737
0.7440 0.3637 0.4263
0.7511 0.0205 0.7578
0.7649 0.8106 0.4058
0.7684 0.6821 0.0995
0.7705 0.4859 0.7347
0.7778 0.1409 0.0807
```

---

Theoretical XRD peak list of Li4Ti5V3O16 for a wavelength of 1.5418 Å, from a cell relaxed with PBE+U.

Principal peaks in the range 2θ from 10° to 90°, low angle first:
2theta  I_rel
18.42  60
19.52  100
25.30  27
32.85  40
35.43  47
36.07  33
39.61  32
39.66  16
45.08  61
51.94  19
59.93  45
62.27  27

```
Li4Ti5V3O16
1.0
5.1703 -2.9730 0.0000
5.1703 2.9730 0.0000
-0.0020 0.0000 9.6326
Li Ti V O
4 5 3 16
Direct
0.0000 0.0000 0.0000
0.0062 0.0062 0.5012
0.3463 0.3463 0.4035
0.6737 0.6737 0.9055
0.1677 0.6577 0.7272
0.3403 0.3403 0.0063
0.6577 0.1677 0.7272
0.6612 0.6612 0.5047
0.8325 0.8325 0.2367
0.1797 0.1797 0.7171
0.3505 0.8376 0.2172
0.8376 0.3505 0.2172
0.0017 0.0017 0.8115
0.0054 0.0054 0.3128
0.0458 0.5000 0.8524
0.1735 0.1735 0.0973
0.1788 0.6658 0.1014
0.3451 0.8301 0.5990
0.3513 0.3513 0.6085
0.4867 0.4867 0.8431
0.5000 0.0458 0.8524
0.5321 0.5321 0.3487
0.5334 0.9753 0.3473
0.6658 0.1788 0.1014
0.6829 0.6829 0.1107
0.8301 0.3451 0.5990
0.8371 0.8371 0.6062
0.9753 0.5334 0.3473
```